For Pr2NdPaSe4, a crystal structure in Alexandria, relaxed with GGA-PBE gives the simulated powder XRD pattern in this record (Cu Kα (weighted mean of Kα1 and Kα2)).
Lines closer than 0.1° are merged.

Top 12 peaks for 2θ from 5° to 70°, in order of rising 2θ:
2theta, intensity
12.8, 4.5
25.8, 11.4
26.1, 11.1
30.0, 100.0
42.7, 12.7
43.0, 49.9
43.3, 12.3
50.7, 3.9
51.1, 3.8
53.1, 13.4
53.6, 13.1
62.5, 12.3

Structural model:
```
data_Pr2NdPaSe4
_chemical_formula_sum 'Pr2 Nd1 Pa1 Se4'
_space_group_name_H-M_alt 'P 1 2/m 1'
_space_group_IT_number 10
_cell_length_a 7.2966
_cell_length_b 4.1784
_cell_length_c 7.3042
_cell_angle_alpha 90.00
_cell_angle_beta 109.06
_cell_angle_gamma 90.00
loop_
_space_group_symop_operation_xyz
'x,y,z'
'-x,-y,-z'
'-x,y,-z'
'x,-y,z'
loop_
_atom_site_label
_atom_site_type_symbol
_atom_site_fract_x
_atom_site_fract_y
_atom_site_fract_z
Pr1 Pr 0.0000 0.0000 0.0000
Pr2 Pr 0.5000 0.5000 0.0000
Nd1 Nd 0.0000 0.5000 0.5000
Pa1 Pa 0.5000 0.0000 0.5000
Se1 Se 0.2532 0.0000 0.7430
Se2 Se 0.2580 0.5000 0.2599
```